1.
For CdAgSn, a structure optimized by DFT (GGA-PBE) gives the theoretical PXRD pattern in this record (CuKα).

Peak list (10 most intense, 10° ≤ 2θ ≤ 90°, in order of rising 2θ)
2theta  Rel. int.
31.52  35
34.08  37
35.03  100
37.17  100
38.96  46
40.69  18
50.94  18
53.04  24
67.73  21
69.39  16

Cell and atoms:
Unit cell a=6.154 b=4.624 c=9.597 alpha=90.00 beta=90.00 gamma=90.00
Atoms (fractional coordinates):
Cd1 0.157 0.250 0.146
Cd2 0.343 0.750 0.646
Cd3 0.657 0.250 0.354
Cd4 0.843 0.750 0.854
Ag1 0.128 0.250 0.794
Ag2 0.372 0.750 0.294
Ag3 0.628 0.250 0.706
Ag4 0.872 0.750 0.206
Sn1 0.177 0.250 0.470
Sn2 0.323 0.750 0.970
Sn3 0.677 0.250 0.030
Sn4 0.823 0.750 0.530

=====

2.
For Hf2MgAl2CoIr2, a structure optimized by DFT (GGA-PBE) gives the theoretical PXRD pattern in this record (CuKα).

Peak list (10 most intense, 10° ≤ 2θ ≤ 90°, in order of rising 2θ)
2theta  Rel. int.
24.38  83
40.29  100
40.43  50
47.53  14
47.77  29
58.50  17
64.13  12
73.15  17
73.43  34
87.07  11

Cell and atoms:
Unit cell a=4.462 b=4.462 c=6.352 alpha=90.00 beta=90.00 gamma=90.00
Atoms (fractional coordinates):
Hf1 0.000 0.500 0.238
Hf2 0.500 0.000 0.762
Mg1 0.000 0.000 0.500
Al1 0.000 0.500 0.757
Al2 0.500 0.000 0.243
Co1 0.500 0.500 0.000
Ir1 0.000 0.000 0.000
Ir2 0.500 0.500 0.500

=====

3.
For Sr2ScOsN6, a structure optimized by DFT (GGA-PBE) gives the theoretical PXRD pattern in this record (CuKα).

Peak list (10 most intense, 10° ≤ 2θ ≤ 90°, in order of rising 2θ)
2theta  Rel. int.
18.71  19
18.99  48
30.96  98
31.31  100
36.72  20
44.61  56
54.84  18
55.51  39
55.73  20
65.32  18

Cell and atoms:
Unit cell a=5.778 b=5.778 c=5.778 alpha=59.27 beta=59.27 gamma=59.27
Atoms (fractional coordinates):
Sr1 0.000 0.000 0.000
Sr2 0.496 0.496 0.496
Sc1 0.248 0.248 0.248
Os1 0.732 0.732 0.732
N1 0.005 0.513 0.510
N2 0.510 0.005 0.513
N3 0.513 0.510 0.005
N4 0.532 0.986 0.988
N5 0.986 0.988 0.532
N6 0.988 0.532 0.986